This entry pairs a crystal structure of TeH2I3 with its simulated PXRD pattern. Radiation: Cu Ka. Structure: the GGA-PBE geometry in Alexandria.

Main lines, most intense first (5° ≤ 2θ ≤ 70°):
d [Å]	Rel. int.	h k l
3.976	100	1 3 0
3.668	97	3 1 -1
2.726	50	0 0 2
3.883	48	2 2 -1
2.663	45	3 1 1
2.118	30	0 6 0
1.916	28	6 0 0
4.265	26	2 2 0
2.387	23	1 3 -2
2.132	22	1 3 2

Structural model:
```
data_TeH2I3
_cell_length_a 12.2803
_cell_length_b 12.7105
_cell_length_c 5.8201
_cell_angle_alpha 90.00
_cell_angle_beta 110.45
_cell_angle_gamma 90.00
_space_group_name_H-M_alt 'C 1 2/c 1'
_space_group_IT_number 15
loop_
_space_group_symop_operation_xyz
'x,y,z'
'-x,-y,-z'
'-x,y,-z+1/2'
'x,-y,z+1/2'
'x+1/2,y+1/2,z'
'-x+1/2,-y+1/2,-z'
'-x+1/2,y+1/2,-z+1/2'
'x+1/2,-y+1/2,z+1/2'
loop_
_atom_site_label
_atom_site_fract_x
_atom_site_fract_y
_atom_site_fract_z
_atom_site_occupancy
Te1 0.0000 0.1360 0.2500 1
H1 0.0793 0.2273 0.1672 1
I1 0.0000 0.4788 0.2500 1
I2 0.1756 0.1540 0.7445 1
```